1.
# Nb2TlPS10
Computed powder XRD pattern, copper Kα. Input: the GGA-PBE geometry in the Materials Project.
Kinematic intensities with the Lorentz-polarization factor, no thermal factor.

Structure:
```
data_Nb2TlPS10
_chemical_formula_sum 'Nb4 Tl2 P2 S20'
_symmetry_space_group_name_H-M 'P 1'
_symmetry_Int_Tables_number 1
_cell_length_a 7.258
_cell_length_b 7.744
_cell_length_c 13.186
_cell_angle_alpha 90.00
_cell_angle_beta 106.80
_cell_angle_gamma 90.00
loop_
_symmetry_equiv_pos_as_xyz
'x,y,z'
loop_
_atom_site_label
_atom_site_type_symbol
_atom_site_fract_x
_atom_site_fract_y
_atom_site_fract_z
Nb1 Nb 0.000 0.056 0.000
Nb2 Nb 0.000 0.944 0.500
Nb3 Nb 0.007 0.062 0.711
Nb4 Nb 0.007 0.938 0.211
Tl1 Tl 0.422 0.493 0.949
Tl2 Tl 0.422 0.507 0.449
P1 P 0.856 0.393 0.832
P2 P 0.856 0.607 0.332
S1 S 0.047 0.393 0.742
S2 S 0.047 0.607 0.242
S3 S 0.068 0.159 0.365
S4 S 0.068 0.841 0.865
S5 S 0.254 0.048 0.895
S6 S 0.254 0.952 0.395
S7 S 0.259 0.124 0.166
S8 S 0.259 0.876 0.666
S9 S 0.260 0.127 0.623
S10 S 0.260 0.873 0.123
S11 S 0.657 0.423 0.287
S12 S 0.657 0.577 0.787
S13 S 0.739 0.109 0.090
S14 S 0.739 0.891 0.590
S15 S 0.751 0.139 0.814
S16 S 0.751 0.861 0.314
S17 S 0.752 0.139 0.538
S18 S 0.752 0.861 0.038
S19 S 0.999 0.394 0.992
S20 S 0.999 0.606 0.492
```

Principal peaks in the range 2θ = 10–80°, by angle:
2theta	I/Imax
12.74	18
14.03	20
17.14	100
18.13	45
22.97	38
24.49	23
28.14	22
32.34	27
36.39	23
36.72	19

2.
# Dy4Ni13C4
Computed powder XRD pattern, copper Kα. Input: the GGA-PBE geometry in the Materials Project.
Kinematic intensities with the Lorentz-polarization factor, no thermal factor.

Structure:
```
data_Dy4Ni13C4
_chemical_formula_sum 'Dy4 Ni13 C4'
_symmetry_space_group_name_H-M 'P 1'
_symmetry_Int_Tables_number 1
_cell_length_a 8.384
_cell_length_b 8.384
_cell_length_c 3.863
_cell_angle_alpha 90.00
_cell_angle_beta 90.00
_cell_angle_gamma 91.38
loop_
_symmetry_equiv_pos_as_xyz
'x,y,z'
loop_
_atom_site_label
_atom_site_type_symbol
_atom_site_fract_x
_atom_site_fract_y
_atom_site_fract_z
Dy1 Dy 0.188 0.812 0.000
Dy2 Dy 0.348 0.348 0.000
Dy3 Dy 0.652 0.652 0.000
Dy4 Dy 0.812 0.188 0.000
Ni1 Ni 0.000 0.000 0.500
Ni2 Ni 0.000 0.500 0.000
Ni3 Ni 0.074 0.291 0.500
Ni4 Ni 0.124 0.124 0.000
Ni5 Ni 0.216 0.569 0.500
Ni6 Ni 0.291 0.074 0.500
Ni7 Ni 0.431 0.784 0.500
Ni8 Ni 0.500 0.000 0.000
Ni9 Ni 0.569 0.216 0.500
Ni10 Ni 0.709 0.926 0.500
Ni11 Ni 0.784 0.431 0.500
Ni12 Ni 0.876 0.876 0.000
Ni13 Ni 0.926 0.709 0.500
C1 C 0.000 0.500 0.500
C2 C 0.443 0.557 0.500
C3 C 0.500 0.000 0.500
C4 C 0.557 0.443 0.500
```

Principal peaks in the range 2θ = 10–80°, by angle:
2theta	I/Imax
33.14	75
33.48	39
34.07	29
37.98	48
41.10	21
41.52	100
44.30	39
44.84	22
47.05	46
66.61	23

3.
# GdBrO2
Computed powder XRD pattern, copper Kα. Input: the GGA-PBE geometry in the Materials Project.
Kinematic intensities with the Lorentz-polarization factor, no thermal factor.

Structure:
```
data_GdBrO2
_chemical_formula_sum 'Gd2 Br2 O4'
_symmetry_space_group_name_H-M 'P 1'
_symmetry_Int_Tables_number 1
_cell_length_a 6.064
_cell_length_b 3.833
_cell_length_c 6.931
_cell_angle_alpha 90.00
_cell_angle_beta 115.41
_cell_angle_gamma 90.00
loop_
_symmetry_equiv_pos_as_xyz
'x,y,z'
loop_
_atom_site_label
_atom_site_type_symbol
_atom_site_fract_x
_atom_site_fract_y
_atom_site_fract_z
Gd1 Gd 0.204 0.250 0.403
Gd2 Gd 0.796 0.750 0.597
Br1 Br 0.257 0.750 0.041
Br2 Br 0.743 0.250 0.959
O1 O 0.039 0.250 0.648
O2 O 0.402 0.750 0.577
O3 O 0.598 0.250 0.423
O4 O 0.961 0.750 0.352
```

Principal peaks in the range 2θ = 10–80°, by angle:
2theta	I/Imax
14.15	27
25.80	22
28.49	100
32.70	24
32.94	28
34.98	39
37.08	32
39.04	19
47.44	17
51.58	22

4.
# ClF3
Computed powder XRD pattern, copper Kα. Input: the GGA-PBE geometry in the Materials Project.
Kinematic intensities with the Lorentz-polarization factor, no thermal factor.

Structure:
```
data_ClF3
_chemical_formula_sum 'Cl8 F24'
_symmetry_space_group_name_H-M 'P 1'
_symmetry_Int_Tables_number 1
_cell_length_a 8.160
_cell_length_b 4.468
_cell_length_c 14.846
_cell_angle_alpha 90.00
_cell_angle_beta 96.21
_cell_angle_gamma 90.00
loop_
_symmetry_equiv_pos_as_xyz
'x,y,z'
loop_
_atom_site_label
_atom_site_type_symbol
_atom_site_fract_x
_atom_site_fract_y
_atom_site_fract_z
Cl1 Cl 0.109 0.005 0.367
Cl2 Cl 0.109 0.495 0.867
Cl3 Cl 0.294 0.041 0.090
Cl4 Cl 0.294 0.459 0.590
Cl5 Cl 0.706 0.541 0.410
Cl6 Cl 0.706 0.959 0.910
Cl7 Cl 0.891 0.505 0.133
Cl8 Cl 0.891 0.995 0.633
F1 F 0.069 0.212 0.947
F2 F 0.069 0.288 0.447
F3 F 0.161 0.742 0.289
F4 F 0.161 0.758 0.789
F5 F 0.210 0.179 0.657
F6 F 0.210 0.321 0.157
F7 F 0.298 0.129 0.374
F8 F 0.298 0.371 0.874
F9 F 0.383 0.740 0.530
F10 F 0.383 0.760 0.030
F11 F 0.442 0.501 0.672
F12 F 0.442 0.999 0.172
F13 F 0.558 0.001 0.828
F14 F 0.558 0.499 0.328
F15 F 0.617 0.240 0.970
F16 F 0.617 0.260 0.470
F17 F 0.702 0.629 0.126
F18 F 0.702 0.871 0.626
F19 F 0.790 0.679 0.843
F20 F 0.790 0.821 0.343
F21 F 0.839 0.242 0.211
F22 F 0.839 0.258 0.711
F23 F 0.931 0.712 0.553
F24 F 0.931 0.788 0.053
```

Principal peaks in the range 2θ = 10–80°, by angle:
2theta	I/Imax
23.84	100
24.12	32
26.19	28
28.39	77
31.24	25
31.44	19
34.26	24
36.61	21
47.62	22
58.74	15

5.
# AlPd3
Computed powder XRD pattern, copper Kα. Input: the GGA-PBE geometry in the Materials Project.
Kinematic intensities with the Lorentz-polarization factor, no thermal factor.

Structure:
```
data_AlPd3
_chemical_formula_sum 'Al1 Pd3'
_symmetry_space_group_name_H-M 'P 1'
_symmetry_Int_Tables_number 1
_cell_length_a 3.909
_cell_length_b 3.909
_cell_length_c 3.909
_cell_angle_alpha 90.00
_cell_angle_beta 90.00
_cell_angle_gamma 90.00
loop_
_symmetry_equiv_pos_as_xyz
'x,y,z'
loop_
_atom_site_label
_atom_site_type_symbol
_atom_site_fract_x
_atom_site_fract_y
_atom_site_fract_z
Al1 Al 0.000 0.000 0.000
Pd1 Pd 0.000 0.500 0.500
Pd2 Pd 0.500 0.000 0.500
Pd3 Pd 0.500 0.500 0.000
```

Principal peaks in the range 2θ = 10–80°, by angle:
2theta	I/Imax
22.75	17
32.39	14
39.94	100
46.46	48
52.33	7
57.77	5
67.80	30
72.54	3
77.16	2

6.
# Te2MoWS2
Computed powder XRD pattern, copper Kα. Input: the GGA-PBE geometry in the Materials Project.
Kinematic intensities with the Lorentz-polarization factor, no thermal factor.

Structure:
```
data_Te2MoWS2
_chemical_formula_sum 'Te4 Mo2 W2 S4'
_symmetry_space_group_name_H-M 'P 1'
_symmetry_Int_Tables_number 1
_cell_length_a 3.361
_cell_length_b 3.361
_cell_length_c 39.858
_cell_angle_alpha 90.00
_cell_angle_beta 90.00
_cell_angle_gamma 120.00
loop_
_symmetry_equiv_pos_as_xyz
'x,y,z'
loop_
_atom_site_label
_atom_site_type_symbol
_atom_site_fract_x
_atom_site_fract_y
_atom_site_fract_z
Te1 Te 0.000 0.000 0.000
Te2 Te 0.000 0.000 0.095
Te3 Te 0.333 0.667 0.809
Te4 Te 0.333 0.667 0.904
Mo1 Mo 0.000 0.000 0.857
Mo2 Mo 0.333 0.667 0.670
W1 W 0.000 0.000 0.483
W2 W 0.333 0.667 0.048
S1 S 0.000 0.000 0.632
S2 S 0.000 0.000 0.708
S3 S 0.333 0.667 0.444
S4 S 0.333 0.667 0.521
```

Principal peaks in the range 2θ = 10–80°, by angle:
2theta	I/Imax
11.10	100
13.33	14
30.74	40
32.76	13
35.73	75
42.84	46
54.63	26
55.92	13
66.99	12
75.58	13

7.
# SrIn2Pt
Computed powder XRD pattern, copper Kα. Input: the GGA-PBE geometry in the Materials Project.
Kinematic intensities with the Lorentz-polarization factor, no thermal factor.

Structure:
```
data_SrIn2Pt
_chemical_formula_sum 'Sr2 In4 Pt2'
_symmetry_space_group_name_H-M 'P 1'
_symmetry_Int_Tables_number 1
_cell_length_a 5.970
_cell_length_b 5.970
_cell_length_c 8.015
_cell_angle_alpha 90.00
_cell_angle_beta 90.00
_cell_angle_gamma 135.22
loop_
_symmetry_equiv_pos_as_xyz
'x,y,z'
loop_
_atom_site_label
_atom_site_type_symbol
_atom_site_fract_x
_atom_site_fract_y
_atom_site_fract_z
Sr1 Sr 0.062 0.938 0.750
Sr2 Sr 0.938 0.062 0.250
In1 In 0.349 0.651 0.554
In2 In 0.349 0.651 0.946
In3 In 0.651 0.349 0.054
In4 In 0.651 0.349 0.446
Pt1 Pt 0.220 0.780 0.250
Pt2 Pt 0.780 0.220 0.750
```

Principal peaks in the range 2θ = 10–80°, by angle:
2theta	I/Imax
16.06	75
23.90	27
30.82	88
33.25	100
34.37	47
38.67	57
39.64	94
39.98	86
53.45	27
62.32	27

8.
# Tl3Hg
Computed powder XRD pattern, copper Kα. Input: the GGA-PBE geometry in the Materials Project.
Kinematic intensities with the Lorentz-polarization factor, no thermal factor.

Structure:
```
data_Tl3Hg
_chemical_formula_sum 'Tl3 Hg1'
_symmetry_space_group_name_H-M 'P 1'
_symmetry_Int_Tables_number 1
_cell_length_a 4.928
_cell_length_b 4.928
_cell_length_c 4.928
_cell_angle_alpha 90.00
_cell_angle_beta 90.00
_cell_angle_gamma 90.00
loop_
_symmetry_equiv_pos_as_xyz
'x,y,z'
loop_
_atom_site_label
_atom_site_type_symbol
_atom_site_fract_x
_atom_site_fract_y
_atom_site_fract_z
Tl1 Tl 0.000 0.000 0.500
Tl2 Tl 0.000 0.500 0.000
Tl3 Tl 0.500 0.000 0.000
Hg1 Hg 0.500 0.500 0.500
```

Principal peaks in the range 2θ = 10–80°, by angle:
2theta	I/Imax
31.44	100
36.47	51
52.53	36
62.51	43
65.63	13
77.48	6

9.
# CrCoN2
Computed powder XRD pattern, copper Kα. Input: the GGA-PBE geometry in the Materials Project.
Kinematic intensities with the Lorentz-polarization factor, no thermal factor.

Structure:
```
data_CrCoN2
_chemical_formula_sum 'Cr2 Co2 N4'
_symmetry_space_group_name_H-M 'P 1'
_symmetry_Int_Tables_number 1
_cell_length_a 2.755
_cell_length_b 2.755
_cell_length_c 9.880
_cell_angle_alpha 90.00
_cell_angle_beta 90.00
_cell_angle_gamma 120.00
loop_
_symmetry_equiv_pos_as_xyz
'x,y,z'
loop_
_atom_site_label
_atom_site_type_symbol
_atom_site_fract_x
_atom_site_fract_y
_atom_site_fract_z
Cr1 Cr 0.333 0.667 0.250
Cr2 Cr 0.667 0.333 0.750
Co1 Co 0.000 0.000 0.000
Co2 Co 0.000 0.000 0.500
N1 N 0.333 0.667 0.626
N2 N 0.333 0.667 0.874
N3 N 0.667 0.333 0.126
N4 N 0.667 0.333 0.374
```

Principal peaks in the range 2θ = 10–80°, by angle:
2theta	I/Imax
36.38	26
38.83	15
42.06	100
47.03	33
53.39	13
60.87	13
68.06	24
69.34	19
77.26	5
79.70	15